1.
Computed PXRD pattern of Ti7Bi2SbH2 for Cu Kα, 1.54184 Å, from a DFT-relaxed cell (PBE, Alexandria).
Kinematic intensities with the Lorentz-polarization factor, no thermal factor.

Atomic structure:
```
data_Ti7Bi2SbH2
_symmetry_space_group_name_H-M 'C 1 2/m 1'
_symmetry_Int_Tables_number 12
_symmetry_space_group_name_Hall '-C 2y'
_cell_length_a 5.8603
_cell_length_b 5.8594
_cell_length_c 11.6912
_cell_angle_alpha 90.00
_cell_angle_beta 104.11
_cell_angle_gamma 90.00
loop_
_atom_site_label
_atom_site_type_symbol
_atom_site_fract_x
_atom_site_fract_y
_atom_site_fract_z
_atom_site_occupancy
Ti1 Ti 0.0000 0.0000 0.0000 1
Ti2 Ti 0.1615 0.2498 0.8182 1
Ti3 Ti 0.1817 0.0000 0.3759 1
Bi1 Bi 0.1793 0.5000 0.3694 1
Sb1 Sb 0.0000 0.5000 0.0000 1
H1 H 0.0898 0.0000 0.1842 1
```

Largest 10 diffraction maxima, in order of falling intensity, 2θ from 15° to 90°:
(0 2 3), 2θ = 38.9°, rel. 1000
(2 2 -1), 2θ = 43.7°, rel. 994
(0 2 0), 2θ = 30.5°, rel. 849
(1 1 0), 2θ = 21.8°, rel. 622
(2 0 2), 2θ = 38.8°, rel. 538
(0 0 4), 2θ = 31.5°, rel. 527
(1 1 -3), 2θ = 29.3°, rel. 504
(1 1 2), 2θ = 29.1°, rel. 482
(2 0 -4), 2θ = 39.0°, rel. 461
(0 0 3), 2θ = 23.5°, rel. 456

---

2.
Computed PXRD pattern of Sc3Bi2H2 for Cu Kα, 1.54184 Å, from a DFT-relaxed cell (PBE, Alexandria).
Kinematic intensities with the Lorentz-polarization factor, no thermal factor.

Atomic structure:
```
data_Sc3Bi2H2
_symmetry_space_group_name_H-M 'P -1'
_symmetry_Int_Tables_number 2
_symmetry_space_group_name_Hall '-P 1'
_cell_length_a 3.9794
_cell_length_b 5.9793
_cell_length_c 6.1366
_cell_angle_alpha 73.55
_cell_angle_beta 71.15
_cell_angle_gamma 70.76
loop_
_atom_site_label
_atom_site_type_symbol
_atom_site_fract_x
_atom_site_fract_y
_atom_site_fract_z
_atom_site_occupancy
Sc1 Sc 0.0000 0.0000 0.0000 1
Sc2 Sc 0.1897 0.3885 0.2313 1
Bi1 Bi 0.4200 0.7975 0.3607 1
H1 H 0.2086 0.6536 0.9278 1
```

Largest 10 diffraction maxima, in order of falling intensity, 2θ from 15° to 90°:
(0 1 -1), 2θ = 24.5°, rel. 1000
(1 0 -1), 2θ = 32.4°, rel. 938
(0 2 1), 2θ = 33.1°, rel. 566
(1 1 2), 2θ = 32.5°, rel. 555
(1 -1 1), 2θ = 35.1°, rel. 497
(1 2 0), 2θ = 35.2°, rel. 494
(0 0 1), 2θ = 15.6°, rel. 478
(0 1 -2), 2θ = 38.3°, rel. 326
(0 1 1), 2θ = 20.0°, rel. 269
(2 1 1), 2θ = 45.6°, rel. 247

---

3.
Computed PXRD pattern of Sc5Bi4H3 for Cu Kα, 1.54184 Å, from a DFT-relaxed cell (PBE, Alexandria).
Kinematic intensities with the Lorentz-polarization factor, no thermal factor.

Atomic structure:
```
data_Sc5Bi4H3
_symmetry_space_group_name_H-M 'C 1 2/m 1'
_symmetry_Int_Tables_number 12
_symmetry_space_group_name_Hall '-C 2y'
_cell_length_a 14.2219
_cell_length_b 3.9389
_cell_length_c 11.1666
_cell_angle_alpha 90.00
_cell_angle_beta 127.45
_cell_angle_gamma 90.00
loop_
_atom_site_label
_atom_site_type_symbol
_atom_site_fract_x
_atom_site_fract_y
_atom_site_fract_z
_atom_site_occupancy
Sc1 Sc 0.0000 0.0000 0.0000 1
Sc2 Sc 0.0504 0.0000 0.7249 1
Sc3 Sc 0.1745 0.5000 0.2783 1
Bi1 Bi 0.1268 0.5000 0.5105 1
Bi2 Bi 0.2434 0.0000 0.1154 1
H1 H 0.0000 0.5000 0.0000 1
H2 H 0.0707 0.0000 0.2241 1
```

Largest 10 diffraction maxima, in order of falling intensity, 2θ from 15° to 90°:
(1 1 -1), 2θ = 24.0°, rel. 1000
(1 1 -3), 2θ = 34.8°, rel. 879
(4 0 -4), 2θ = 32.9°, rel. 863
(3 1 -1), 2θ = 29.8°, rel. 763
(5 1 -2), 2θ = 39.3°, rel. 652
(1 1 2), 2θ = 34.4°, rel. 640
(2 0 0), 2θ = 15.7°, rel. 515
(4 0 1), 2θ = 38.9°, rel. 451
(4 0 -1), 2θ = 26.7°, rel. 386
(0 2 0), 2θ = 46.1°, rel. 327

---

4.
Computed PXRD pattern of BiH3Se for Cu Kα, 1.54184 Å, from a DFT-relaxed cell (PBE, Alexandria).
Kinematic intensities with the Lorentz-polarization factor, no thermal factor.

Atomic structure:
```
data_BiH3Se
_symmetry_space_group_name_H-M 'P m -3 m'
_symmetry_Int_Tables_number 221
_symmetry_space_group_name_Hall '-P 4 2 3'
_cell_length_a 3.9418
_cell_length_b 3.9418
_cell_length_c 3.9418
_cell_angle_alpha 90.00
_cell_angle_beta 90.00
_cell_angle_gamma 90.00
loop_
_atom_site_label
_atom_site_type_symbol
_atom_site_fract_x
_atom_site_fract_y
_atom_site_fract_z
_atom_site_occupancy
Bi1 Bi 0.0000 0.0000 0.0000 1
H1 H 0.0000 0.5000 0.5000 1
Se1 Se 0.5000 0.5000 0.5000 1
```

Largest 10 diffraction maxima, in order of falling intensity, 2θ from 15° to 90°:
(1 1 0), 2θ = 32.1°, rel. 1000
(2 1 1), 2θ = 57.2°, rel. 396
(1 0 0), 2θ = 22.6°, rel. 221
(2 0 0), 2θ = 46.1°, rel. 193
(3 1 0), 2θ = 76.4°, rel. 175
(2 2 0), 2θ = 67.2°, rel. 126
(2 1 0), 2θ = 51.9°, rel. 109
(1 1 1), 2θ = 39.6°, rel. 82
(3 0 0), 2θ = 71.8°, rel. 55
(2 2 2), 2θ = 85.3°, rel. 46

---

5.
Computed PXRD pattern of Sm3Bi3H2 for Cu Kα, 1.54184 Å, from a DFT-relaxed cell (PBE, Alexandria).
Kinematic intensities with the Lorentz-polarization factor, no thermal factor.

Atomic structure:
```
data_Sm3Bi3H2
_symmetry_space_group_name_H-M 'P -1'
_symmetry_Int_Tables_number 2
_symmetry_space_group_name_Hall '-P 1'
_cell_length_a 3.6115
_cell_length_b 5.8990
_cell_length_c 9.3343
_cell_angle_alpha 80.23
_cell_angle_beta 79.90
_cell_angle_gamma 89.92
loop_
_atom_site_label
_atom_site_type_symbol
_atom_site_fract_x
_atom_site_fract_y
_atom_site_fract_z
_atom_site_occupancy
Sm1 Sm 0.0000 0.0000 0.0000 1
Sm2 Sm 0.1802 0.5849 0.6591 1
Bi1 Bi 0.3331 0.9279 0.3135 1
Bi2 Bi 0.5000 0.5000 0.0000 1
H1 H 0.2620 0.3964 0.4699 1
```

Largest 10 diffraction maxima, in order of falling intensity, 2θ from 15° to 90°:
(0 0 3), 2θ = 29.6°, rel. 1000
(-1 1 1), 2θ = 31.3°, rel. 770
(1 1 -1), 2θ = 33.7°, rel. 731
(1 1 2), 2θ = 31.7°, rel. 677
(1 -1 2), 2θ = 34.2°, rel. 665
(0 2 0), 2θ = 30.8°, rel. 485
(0 2 1), 2θ = 30.7°, rel. 418
(2 0 1), 2θ = 50.6°, rel. 246
(2 0 4), 2θ = 60.2°, rel. 242
(0 2 3), 2θ = 39.2°, rel. 192

---

6.
Computed PXRD pattern of Sm4Bi2H for Cu Kα, 1.54184 Å, from a DFT-relaxed cell (PBE, Alexandria).
Kinematic intensities with the Lorentz-polarization factor, no thermal factor.

Atomic structure:
```
data_Sm4Bi2H
_symmetry_space_group_name_H-M 'I 4/m m m'
_symmetry_Int_Tables_number 139
_symmetry_space_group_name_Hall '-I 4 2'
_cell_length_a 4.6065
_cell_length_b 4.6065
_cell_length_c 17.7850
_cell_angle_alpha 90.00
_cell_angle_beta 90.00
_cell_angle_gamma 90.00
loop_
_atom_site_label
_atom_site_type_symbol
_atom_site_fract_x
_atom_site_fract_y
_atom_site_fract_z
_atom_site_occupancy
Sm1 Sm 0.0000 0.0000 0.1784 1
Sm2 Sm 0.0000 0.5000 0.0000 1
Bi1 Bi 0.0000 0.0000 0.3615 1
H1 H 0.0000 0.0000 0.0000 1
```

Largest 10 diffraction maxima, in order of falling intensity, 2θ from 15° to 90°:
(1 1 4), 2θ = 34.1°, rel. 1000
(1 1 2), 2θ = 29.2°, rel. 807
(2 0 0), 2θ = 39.1°, rel. 622
(2 0 6), 2θ = 50.2°, rel. 390
(0 0 6), 2θ = 30.1°, rel. 362
(1 0 5), 2θ = 31.8°, rel. 305
(3 1 4), 2θ = 67.7°, rel. 283
(1 1 0), 2θ = 27.4°, rel. 264
(2 2 0), 2θ = 56.5°, rel. 215
(2 2 6), 2θ = 65.4°, rel. 192

---

7.
Computed PXRD pattern of SmBiH2 for Cu Kα, 1.54184 Å, from a DFT-relaxed cell (PBE, Alexandria).
Kinematic intensities with the Lorentz-polarization factor, no thermal factor.

Atomic structure:
```
data_SmBiH2
_symmetry_space_group_name_H-M 'C m c m'
_symmetry_Int_Tables_number 63
_symmetry_space_group_name_Hall '-C 2c 2'
_cell_length_a 3.6432
_cell_length_b 12.5329
_cell_length_c 6.4003
_cell_angle_alpha 90.00
_cell_angle_beta 90.00
_cell_angle_gamma 90.00
loop_
_atom_site_label
_atom_site_type_symbol
_atom_site_fract_x
_atom_site_fract_y
_atom_site_fract_z
_atom_site_occupancy
Sm1 Sm 0.0000 0.2262 0.2500 1
Bi1 Bi 0.0000 0.0426 0.7500 1
H1 H 0.0000 0.3058 0.5571 1
```

Largest 10 diffraction maxima, in order of falling intensity, 2θ from 15° to 90°:
(1 3 1), 2θ = 35.6°, rel. 1000
(0 0 2), 2θ = 27.9°, rel. 734
(1 1 0), 2θ = 25.5°, rel. 708
(0 4 1), 2θ = 31.8°, rel. 597
(1 1 2), 2θ = 38.1°, rel. 515
(1 3 3), 2θ = 54.5°, rel. 317
(0 4 0), 2θ = 28.5°, rel. 278
(0 4 2), 2θ = 40.3°, rel. 220
(1 7 1), 2θ = 59.3°, rel. 218
(2 0 0), 2θ = 50.1°, rel. 196

---

8.
Computed PXRD pattern of SrBiH for Cu Kα, 1.54184 Å, from a DFT-relaxed cell (PBE, Alexandria).
Kinematic intensities with the Lorentz-polarization factor, no thermal factor.

Atomic structure:
```
data_SrBiH
_symmetry_space_group_name_H-M 'C 1 2/m 1'
_symmetry_Int_Tables_number 12
_symmetry_space_group_name_Hall '-C 2y'
_cell_length_a 10.5880
_cell_length_b 4.2251
_cell_length_c 9.4076
_cell_angle_alpha 90.00
_cell_angle_beta 122.47
_cell_angle_gamma 90.00
loop_
_atom_site_label
_atom_site_type_symbol
_atom_site_fract_x
_atom_site_fract_y
_atom_site_fract_z
_atom_site_occupancy
Sr1 Sr 0.2191 0.0000 0.3090 1
Bi1 Bi 0.1195 0.5000 0.9439 1
H1 H 0.1933 0.0000 0.5493 1
```

Largest 10 diffraction maxima, in order of falling intensity, 2θ from 15° to 90°:
(1 1 1), 2θ = 28.2°, rel. 1000
(3 1 -2), 2θ = 33.7°, rel. 676
(2 0 -3), 2θ = 28.5°, rel. 539
(1 1 0), 2θ = 23.3°, rel. 361
(4 0 -1), 2θ = 35.4°, rel. 286
(0 0 3), 2θ = 33.9°, rel. 261
(3 1 -3), 2θ = 37.7°, rel. 230
(0 2 0), 2θ = 42.8°, rel. 187
(1 1 2), 2θ = 36.2°, rel. 181
(2 2 -3), 2θ = 52.2°, rel. 163

---

9.
Computed PXRD pattern of Tb2Bi2H for Cu Kα, 1.54184 Å, from a DFT-relaxed cell (PBE, Alexandria).
Kinematic intensities with the Lorentz-polarization factor, no thermal factor.

Atomic structure:
```
data_Tb2Bi2H
_symmetry_space_group_name_H-M 'C m c 21'
_symmetry_Int_Tables_number 36
_symmetry_space_group_name_Hall 'C 2c -2'
_cell_length_a 4.3570
_cell_length_b 15.9482
_cell_length_c 7.7537
_cell_angle_alpha 90.00
_cell_angle_beta 90.00
_cell_angle_gamma 90.00
loop_
_atom_site_label
_atom_site_type_symbol
_atom_site_fract_x
_atom_site_fract_y
_atom_site_fract_z
_atom_site_occupancy
Tb1 Tb 0.0000 0.0699 0.0000 1
Tb2 Tb 0.0000 0.3509 0.8513 1
Bi1 Bi 0.0000 0.2848 0.4659 1
Bi2 Bi 0.0000 0.4568 0.1941 1
H1 H 0.0000 0.1153 0.2703 1
```

Largest 10 diffraction maxima, in order of falling intensity, 2θ from 15° to 90°:
(1 3 1), 2θ = 28.9°, rel. 1000
(1 3 2), 2θ = 35.3°, rel. 484
(1 1 2), 2θ = 31.4°, rel. 399
(0 2 2), 2θ = 25.5°, rel. 389
(1 5 1), 2θ = 36.8°, rel. 376
(2 0 0), 2θ = 41.4°, rel. 320
(0 2 3), 2θ = 36.5°, rel. 312
(0 6 1), 2θ = 35.7°, rel. 300
(1 1 0), 2θ = 21.1°, rel. 244
(0 4 1), 2θ = 25.1°, rel. 194

---

10.
Computed PXRD pattern of Tb4TlBiH for Cu Kα, 1.54184 Å, from a DFT-relaxed cell (PBE, Alexandria).
Kinematic intensities with the Lorentz-polarization factor, no thermal factor.

Atomic structure:
```
data_Tb4TlBiH
_symmetry_space_group_name_H-M 'C m c m'
_symmetry_Int_Tables_number 63
_symmetry_space_group_name_Hall '-C 2c 2'
_cell_length_a 6.4698
_cell_length_b 17.0648
_cell_length_c 6.5001
_cell_angle_alpha 90.00
_cell_angle_beta 90.00
_cell_angle_gamma 90.00
loop_
_atom_site_label
_atom_site_type_symbol
_atom_site_fract_x
_atom_site_fract_y
_atom_site_fract_z
_atom_site_occupancy
Tb1 Tb 0.0000 0.0700 0.2500 1
Tb2 Tb 0.0000 0.4241 0.2500 1
Tb3 Tb 0.2500 0.2500 0.0000 1
Tl1 Tl 0.0000 0.1130 0.7500 1
Bi1 Bi 0.0000 0.3897 0.7500 1
H1 H 0.0000 0.2899 0.2500 1
```

Largest 10 diffraction maxima, in order of falling intensity, 2θ from 15° to 90°:
(2 0 2), 2θ = 39.3°, rel. 1000
(0 4 2), 2θ = 34.7°, rel. 790
(2 4 0), 2θ = 34.8°, rel. 783
(0 2 2), 2θ = 29.4°, rel. 659
(2 2 0), 2θ = 29.5°, rel. 655
(2 6 2), 2θ = 51.2°, rel. 559
(0 6 0), 2θ = 31.5°, rel. 540
(1 5 1), 2θ = 32.7°, rel. 442
(2 4 4), 2θ = 68.2°, rel. 227
(4 4 2), 2θ = 68.4°, rel. 225

---

11.
Computed PXRD pattern of ZrBiTeH for Cu Kα, 1.54184 Å, from a DFT-relaxed cell (PBE, Alexandria).
Kinematic intensities with the Lorentz-polarization factor, no thermal factor.

Atomic structure:
```
data_ZrBiTeH
_symmetry_space_group_name_H-M 'R 3 m'
_symmetry_Int_Tables_number 160
_symmetry_space_group_name_Hall 'R 3 -2"'
_cell_length_a 3.5696
_cell_length_b 3.5696
_cell_length_c 24.9502
_cell_angle_alpha 90.00
_cell_angle_beta 90.00
_cell_angle_gamma 120.00
loop_
_atom_site_label
_atom_site_type_symbol
_atom_site_fract_x
_atom_site_fract_y
_atom_site_fract_z
_atom_site_occupancy
Zr1 Zr 0.0000 0.0000 0.0000 1
Bi1 Bi 0.0000 0.0000 0.5623 1
Te1 Te 0.0000 0.0000 0.7485 1
H1 H 0.0000 0.0000 0.3243 1
```

Largest 10 diffraction maxima, in order of falling intensity, 2θ from 15° to 90°:
(1 0 4), 2θ = 32.3°, rel. 1000
(0 1 5), 2θ = 34.1°, rel. 957
(1 0 1), 2θ = 29.1°, rel. 572
(1 0 7), 2θ = 38.6°, rel. 471
(1 1 0), 2θ = 51.2°, rel. 433
(0 0 6), 2θ = 21.4°, rel. 426
(0 1 2), 2θ = 29.8°, rel. 372
(0 1 11), 2θ = 49.9°, rel. 346
(0 2 4), 2θ = 61.8°, rel. 333
(1 1 6), 2θ = 56.1°, rel. 205

---

12.
Computed PXRD pattern of Zr7Bi2TeH2 for Cu Kα, 1.54184 Å, from a DFT-relaxed cell (PBE, Alexandria).
Kinematic intensities with the Lorentz-polarization factor, no thermal factor.

Atomic structure:
```
data_Zr7Bi2TeH2
_symmetry_space_group_name_H-M 'C 1 2/m 1'
_symmetry_Int_Tables_number 12
_symmetry_space_group_name_Hall '-C 2y'
_cell_length_a 6.1514
_cell_length_b 6.1271
_cell_length_c 12.7177
_cell_angle_alpha 90.00
_cell_angle_beta 101.07
_cell_angle_gamma 90.00
loop_
_atom_site_label
_atom_site_type_symbol
_atom_site_fract_x
_atom_site_fract_y
_atom_site_fract_z
_atom_site_occupancy
Zr1 Zr 0.0000 0.0000 0.0000 1
Zr2 Zr 0.1512 0.0000 0.3983 1
Zr3 Zr 0.1758 0.2491 0.8137 1
Bi1 Bi 0.1448 0.5000 0.3658 1
Te1 Te 0.0000 0.5000 0.0000 1
H1 H 0.0697 0.0000 0.1737 1
```

Largest 10 diffraction maxima, in order of falling intensity, 2θ from 15° to 90°:
(0 2 3), 2θ = 36.4°, rel. 1000
(2 2 -1), 2θ = 41.6°, rel. 899
(2 0 2), 2θ = 35.4°, rel. 761
(0 0 5), 2θ = 36.0°, rel. 492
(2 0 -3), 2θ = 33.2°, rel. 472
(0 2 2), 2θ = 32.6°, rel. 339
(2 2 -6), 2θ = 57.3°, rel. 339
(0 2 0), 2θ = 29.1°, rel. 331
(2 0 -4), 2θ = 37.3°, rel. 223
(0 2 1), 2θ = 30.0°, rel. 222

---

13.
Computed PXRD pattern of Th4Bi3H2 for Cu Kα, 1.54184 Å, from a DFT-relaxed cell (PBE, Alexandria).
Kinematic intensities with the Lorentz-polarization factor, no thermal factor.

Atomic structure:
```
data_Th4Bi3H2
_symmetry_space_group_name_H-M 'C 1 2/c 1'
_symmetry_Int_Tables_number 15
_symmetry_space_group_name_Hall '-C 2yc'
_cell_length_a 14.9310
_cell_length_b 9.6962
_cell_length_c 6.5752
_cell_angle_alpha 90.00
_cell_angle_beta 103.55
_cell_angle_gamma 90.00
loop_
_atom_site_label
_atom_site_type_symbol
_atom_site_fract_x
_atom_site_fract_y
_atom_site_fract_z
_atom_site_occupancy
Th1 Th 0.1012 0.2239 0.0357 1
Th2 Th 0.2008 0.4381 0.6031 1
Bi1 Bi 0.0000 0.4926 0.2500 1
Bi2 Bi 0.1127 0.1205 0.5580 1
H1 H 0.2329 0.3533 0.9460 1
```

Largest 10 diffraction maxima, in order of falling intensity, 2θ from 15° to 90°:
(5 1 0), 2θ = 32.2°, rel. 1000
(1 1 2), 2θ = 31.4°, rel. 339
(1 3 0), 2θ = 28.3°, rel. 305
(4 0 -2), 2θ = 32.7°, rel. 268
(4 2 0), 2θ = 30.8°, rel. 252
(3 3 -1), 2θ = 34.5°, rel. 249
(3 1 -2), 2θ = 31.1°, rel. 213
(2 0 -2), 2θ = 27.7°, rel. 196
(2 0 2), 2θ = 33.2°, rel. 184
(3 3 -3), 2θ = 51.1°, rel. 184

---

14.
Computed PXRD pattern of Th5Bi2H for Cu Kα, 1.54184 Å, from a DFT-relaxed cell (PBE, Alexandria).
Kinematic intensities with the Lorentz-polarization factor, no thermal factor.

Atomic structure:
```
data_Th5Bi2H
_symmetry_space_group_name_H-M 'I 4 m m'
_symmetry_Int_Tables_number 107
_symmetry_space_group_name_Hall 'I 4 -2'
_cell_length_a 7.3097
_cell_length_b 7.3097
_cell_length_c 8.8379
_cell_angle_alpha 90.00
_cell_angle_beta 90.00
_cell_angle_gamma 90.00
loop_
_atom_site_label
_atom_site_type_symbol
_atom_site_fract_x
_atom_site_fract_y
_atom_site_fract_z
_atom_site_occupancy
Th1 Th 0.0000 0.0000 0.0000 1
Th2 Th 0.2487 0.2487 0.7435 1
Bi1 Bi 0.0000 0.5000 0.4947 1
H1 H 0.0000 0.0000 0.7242 1
```

Largest 10 diffraction maxima, in order of falling intensity, 2θ from 15° to 90°:
(2 0 2), 2θ = 31.8°, rel. 1000
(2 2 0), 2θ = 34.7°, rel. 399
(4 2 2), 2θ = 60.4°, rel. 335
(2 2 4), 2θ = 54.7°, rel. 224
(4 0 0), 2θ = 49.9°, rel. 147
(0 0 4), 2θ = 40.8°, rel. 129
(4 0 4), 2θ = 66.4°, rel. 127
(4 2 6), 2θ = 89.6°, rel. 121
(2 0 6), 2θ = 68.7°, rel. 114
(1 0 1), 2θ = 15.7°, rel. 113